# 1
Simulated powder diffraction line list
Compound: LiCu2Si
Radiation: a wavelength of 1.5418 Å
Structure: DFT lattice parameters and positions (PBE)
Intensities are scaled so that the largest is 100.

Top 6 peaks for 10 to 90 degrees two-theta, by angle:
| Position (°2θ) | d_spacing | I (rel.) | hkl |
| --- | --- | --- | --- |
| 27.64 | 3.227 | 32.2 | 0 0 1 |
| 32.91 | 2.721 | 41.3 | 1 1 0 |
| 43.50 | 2.080 | 100.0 | 1 1 1 |
| 47.24 | 1.924 | 38.8 | 2 0 0 |
| 55.61 | 1.653 | 17.0 | 2 0 1 |
| 85.22 | 1.139 | 25.2 | 3 1 1 |

Cell and atoms:
Unit cell a=3.8485 b=3.8485 c=3.2268 alpha=90.00 beta=90.00 gamma=90.00
Space group P4/mmm (No. 123)
Unique sites:
Li: 0.0000 0.0000 0.0000
Cu: 0.0000 0.5000 0.5000
Si: 0.5000 0.5000 0.0000

# 2
Simulated powder diffraction line list
Compound: AuO2F
Radiation: a wavelength of 1.5418 Å
Structure: DFT lattice parameters and positions (PBE)
Intensities are scaled so that the largest is 100.

Top 6 peaks for 10 to 90 degrees two-theta, by angle:
| Position (°2θ) | d_spacing | I (rel.) | hkl |
| --- | --- | --- | --- |
| 22.60 | 3.934 | 86.1 | 1 0 -1 |
| 25.66 | 3.471 | 40.7 | 1 0 1 |
| 28.44 | 3.138 | 100.0 | 0 1 1 |
| 28.80 | 3.099 | 97.0 | 1 1 0 |
| 43.22 | 2.093 | 35.6 | 1 1 -2 |
| 43.97 | 2.059 | 33.9 | 2 1 -1 |

Cell and atoms:
Unit cell a=5.1588 b=3.8947 c=5.3395 alpha=90.00 beta=97.16 gamma=90.00
Space group P2_1 (No. 4)
Unique sites:
Au: 0.2246 0.0000 0.2253
O: 0.2650 0.7076 0.5407
O: 0.4513 0.7955 0.7230
F: 0.1366 0.2522 0.8758

# 3
Simulated powder diffraction line list
Compound: DyTlPO
Radiation: a wavelength of 1.5418 Å
Structure: DFT lattice parameters and positions (PBE)
Intensities are scaled so that the largest is 100.

Top 6 peaks for 10 to 90 degrees two-theta, by angle:
| Position (°2θ) | d_spacing | I (rel.) | hkl |
| --- | --- | --- | --- |
| 21.33 | 4.165 | 61.4 | 1 1 0 |
| 27.18 | 3.281 | 100.0 | 1 1 1 |
| 27.58 | 3.234 | 53.1 | 0 2 1 |
| 33.65 | 2.663 | 29.9 | 0 0 2 |
| 38.00 | 2.368 | 42.8 | 1 3 0 |
| 51.66 | 1.769 | 32.9 | 1 3 2 |

Cell and atoms:
Unit cell a=4.8480 b=8.1396 c=5.3264 alpha=90.00 beta=90.00 gamma=90.00
Space group Pmc2_1 (No. 26)
Unique sites:
Dy: 0.0000 0.1421 0.0000
Tl: 0.5000 0.3220 0.4382
P: 0.5000 0.3065 0.9351
O: 0.0000 0.1066 0.3915

# 4
Simulated powder diffraction line list
Compound: Sr3Pr4Pb3N2
Radiation: a wavelength of 1.5418 Å
Structure: DFT lattice parameters and positions (PBE)
Intensities are scaled so that the largest is 100.

Top 6 peaks for 10 to 90 degrees two-theta, by angle:
| Position (°2θ) | d_spacing | I (rel.) | hkl |
| --- | --- | --- | --- |
| 30.10 | 2.969 | 100.0 | 1 5 1 |
| 33.89 | 2.645 | 18.4 | 0 10 0 |
| 34.44 | 2.604 | 19.5 | 2 0 0 |
| 36.31 | 2.474 | 16.8 | 0 0 2 |
| 59.03 | 1.565 | 15.2 | 3 5 1 |
| 61.53 | 1.507 | 13.4 | 1 5 3 |

Cell and atoms:
Unit cell a=5.2078 b=26.4492 c=4.9480 alpha=90.00 beta=90.00 gamma=90.00
Space group Cmmm (No. 65)
Unique sites:
Sr: 0.0000 0.0000 0.0000
Sr: 0.0000 0.3998 0.0000
Pr: 0.0000 0.0960 0.5000
Pr: 0.0000 0.1976 0.0000
Pb: 0.0000 0.3084 0.5000
Pb: 0.0000 0.5000 0.5000
N: 0.0000 0.1065 0.0000

# 5
Simulated powder diffraction line list
Compound: Sm6Br13
Radiation: a wavelength of 1.5418 Å
Structure: DFT lattice parameters and positions (PBE)
Intensities are scaled so that the largest is 100.

Top 6 peaks for 10 to 90 degrees two-theta, by angle:
| Position (°2θ) | d_spacing | I (rel.) | hkl |
| --- | --- | --- | --- |
| 17.25 | 5.142 | 71.1 | 1 1 -1 |
| 21.14 | 4.203 | 78.6 | 5 1 1 |
| 21.65 | 4.104 | 83.6 | 7 1 -1 |
| 34.89 | 2.571 | 62.2 | 10 0 2 |
| 35.43 | 2.533 | 100.0 | 12 2 0 |
| 39.28 | 2.294 | 74.4 | 3 1 -3 |

Cell and atoms:
Unit cell a=42.6555 b=7.2939 c=7.2537 alpha=90.00 beta=97.77 gamma=90.00
Space group C2/c (No. 15)
Unique sites:
Sm: 0.0393 0.2399 0.0783
Sm: 0.1283 0.2203 0.5406
Sm: 0.1998 0.2002 0.3218
Br: 0.0000 0.0494 0.7500
Br: 0.0313 0.3702 0.4503
Br: 0.0812 0.0441 0.8044
Br: 0.1022 0.4220 0.1948
Br: 0.1613 0.1117 0.9283
Br: 0.1825 0.4544 0.5975
Br: 0.2416 0.0473 0.6355

What is the formula in the second record?
AuO2F

Number 2 is which compound?
AuO2F